This entry pairs a crystal structure of CaMn8O8F8 with its calculated powder X-ray diffraction pattern. Radiation: a wavelength of 1.5418 Å. Structure: a GGA+U-relaxed structure.
No peak broadening, texture or thermal motion is included.

Cell and atoms:
```
25
Lattice="4.7705 0.0000 0.0000 0.0806 4.8145 0.0000 0.0242 0.2684 12.9554" Properties=species:S:1:pos:R:3 pbc="T T T"
Ca 0.0000 0.0000 0.0000
Mn 0.0692 2.9860 5.0723
Mn 2.1298 0.6057 6.5348
Mn 2.3624 1.8957 0.1296
Mn 2.3663 0.2738 3.4768
Mn 2.4491 0.4146 9.6004
Mn 4.4668 2.6655 2.0680
Mn 4.5257 2.7803 11.0235
Mn 4.5179 2.7265 8.0119
O 0.3616 2.2563 0.1231
O 0.8082 2.0100 6.5357
O 1.4304 4.4393 5.0303
O 3.1736 1.3377 7.9469
O 3.2328 1.2209 1.8856
O 3.2612 1.3926 11.3990
O 3.6634 3.5832 9.5414
O 3.7242 3.6104 3.5558
F 0.8421 1.8078 9.5243
F 0.9910 4.1887 1.9752
F 1.0176 1.7973 3.4402
F 1.0981 4.2892 11.0833
F 1.2044 4.2948 7.9988
F 2.9259 3.8389 0.2557
F 3.3316 1.4274 5.0748
F 3.6030 3.8413 6.5826
```

Peak list (12 most intense, 10° ≤ 2θ ≤ 80°, most intense first)
26.53 deg, d = 3.360 Å, I 100.0, (1 -1 0); 33.44 deg, d = 2.679 Å, I 73.0, (1 0 -4); 26.08 deg, d = 3.417 Å, I 72.4, (1 1 0); 51.24 deg, d = 1.783 Å, I 41.8, (2 1 -4); 33.65 deg, d = 2.664 Å, I 32.0, (0 1 -4); 29.77 deg, d = 3.001 Å, I 30.6, (1 1 -2); 26.88 deg, d = 3.317 Å, I 28.0, (1 1 1); 38.35 deg, d = 2.347 Å, I 27.4, (-1 1 4); 33.01 deg, d = 2.713 Å, I 26.9, (0 1 4); 51.68 deg, d = 1.769 Å, I 26.0, (2 -1 4); 53.65 deg, d = 1.708 Å, I 24.6, (2 2 0); 38.88 deg, d = 2.316 Å, I 24.3, (1 -1 4)